Record 1
Starting from DFT lattice parameters and positions (GGA-PBE), the PXRD pattern of Er2ScCo was calculated for CuKα.

The 6 most intense peaks (2θ = 10–80°), by angle:
h k l, 2θ (°), d_spacing, Rel. int.
1 1 1, 22.19, 4.006, 29.3
0 2 0, 30.07, 2.971, 29.7
2 1 0, 32.27, 2.774, 58.0
1 1 3, 32.42, 2.762, 100.0
1 2 3, 41.99, 2.151, 33.1
2 3 0, 54.87, 1.673, 34.9

```
data_Er2ScCo
_chemical_formula_sum 'Er8 Sc4 Co4'
_space_group_name_H-M_alt 'P n n a'
_space_group_IT_number 52
_cell_length_a 6.2724
_cell_length_b 5.9428
_cell_length_c 10.7861
_cell_angle_alpha 90.00
_cell_angle_beta 90.00
_cell_angle_gamma 90.00
loop_
_space_group_symop_operation_xyz
'x,y,z'
'-x,-y,-z'
'-x+1/2,-y,z'
'x+1/2,y,-z'
'x,-y+1/2,-z+1/2'
'-x,y+1/2,z+1/2'
'-x+1/2,y+1/2,-z+1/2'
'x+1/2,-y+1/2,z+1/2'
loop_
_atom_site_label
_atom_site_type_symbol
_atom_site_fract_x
_atom_site_fract_y
_atom_site_fract_z
_atom_site_occupancy
Er1 Er 0.0908 0.2456 0.0888 1
Sc1 Sc 0.0805 0.2500 0.7500 1
Co1 Co 0.2500 0.0000 0.9064 1
```

***

Record 2
Starting from DFT lattice parameters and positions (GGA-PBE), the PXRD pattern of Er2Co5Si4 was calculated for CuKα.

The 6 most intense peaks (2θ = 10–80°), by angle:
h k l, 2θ (°), d_spacing, Rel. int.
1 1 3, 28.17, 3.168, 79.6
0 2 4, 33.62, 2.665, 77.7
1 3 1, 34.93, 2.568, 35.0
2 2 0, 39.48, 2.283, 100.0
1 3 3, 40.07, 2.250, 71.3
2 0 4, 43.88, 2.063, 63.8

```
data_Er2Co5Si4
_chemical_formula_sum 'Er8 Co20 Si16'
_space_group_name_H-M_alt 'F m m m'
_space_group_IT_number 69
_space_group_name_Hall '-F 2 2'
_cell_length_a 5.2868
_cell_length_b 9.0422
_cell_length_c 13.1999
_cell_angle_alpha 90.00
_cell_angle_beta 90.00
_cell_angle_gamma 90.00
loop_
_atom_site_label
_atom_site_type_symbol
_atom_site_fract_x
_atom_site_fract_y
_atom_site_fract_z
_atom_site_occupancy
Er1 Er 0.0000 0.0000 0.1314 1
Co1 Co 0.0000 0.0000 0.5000 1
Co2 Co 0.2500 0.2500 0.0000 1
Co3 Co 0.2500 0.2500 0.2500 1
Si1 Si 0.0000 0.1532 0.3684 1
```

***

Record 3
Starting from DFT lattice parameters and positions (GGA-PBE), the PXRD pattern of Er2Co2Si3 was calculated for CuKα.

The 6 most intense peaks (2θ = 10–80°), by angle:
h k l, 2θ (°), d_spacing, Rel. int.
0 4 1, 24.88, 3.579, 42.7
1 1 2, 35.64, 2.519, 83.1
1 5 1, 37.25, 2.414, 100.0
2 0 0, 45.34, 2.000, 30.3
0 4 3, 46.42, 1.956, 36.2
1 9 2, 60.97, 1.520, 29.6

```
data_Er2Co2Si3
_chemical_formula_sum 'Er8 Co8 Si12'
_space_group_name_H-M_alt 'C m c m'
_space_group_IT_number 63
_space_group_name_Hall '-C 2c 2'
_cell_length_a 4.0007
_cell_length_b 17.0296
_cell_length_c 6.6065
_cell_angle_alpha 90.00
_cell_angle_beta 90.00
_cell_angle_gamma 90.00
loop_
_atom_site_label
_atom_site_type_symbol
_atom_site_fract_x
_atom_site_fract_y
_atom_site_fract_z
_atom_site_occupancy
Er1 Er 0.0000 0.0543 0.2500 1
Er2 Er 0.0000 0.1598 0.7500 1
Co1 Co 0.0000 0.3065 0.5557 1
Si1 Si 0.0000 0.2232 0.2500 1
Si2 Si 0.0000 0.4354 0.0671 1
```

***

Record 4
Starting from DFT lattice parameters and positions (GGA-PBE), the PXRD pattern of Er3Co2Si3 was calculated for CuKα.

The 6 most intense peaks (2θ = 10–80°), by angle:
h k l, 2θ (°), d_spacing, Rel. int.
2 1 1, 29.15, 3.063, 63.9
1 4 1, 33.10, 2.706, 57.6
1 1 2, 35.17, 2.552, 94.8
2 4 0, 35.34, 2.540, 100.0
2 4 1, 39.04, 2.307, 52.0
1 3 2, 40.01, 2.254, 80.4

```
data_Er3Co2Si3
_chemical_formula_sum 'Er12 Co8 Si12'
_space_group_name_H-M_alt 'P n m a'
_space_group_IT_number 62
_cell_length_a 7.6474
_cell_length_b 13.5882
_cell_length_c 5.5245
_cell_angle_alpha 90.00
_cell_angle_beta 90.00
_cell_angle_gamma 90.00
loop_
_space_group_symop_operation_xyz
'x,y,z'
'-x,-y,-z'
'-x+1/2,-y,z+1/2'
'x+1/2,y,-z+1/2'
'x+1/2,-y+1/2,-z+1/2'
'-x+1/2,y+1/2,z+1/2'
'-x,y+1/2,-z'
'x,-y+1/2,z'
loop_
_atom_site_label
_atom_site_type_symbol
_atom_site_fract_x
_atom_site_fract_y
_atom_site_fract_z
_atom_site_occupancy
Er1 Er 0.0428 0.1117 0.1259 1
Er2 Er 0.1898 0.2500 0.6272 1
Co1 Co 0.0892 0.5883 0.3926 1
Si1 Si 0.1589 0.7500 0.5932 1
Si2 Si 0.1937 0.0404 0.6346 1
```